[1]
Structure and simulated X-ray diffraction stick pattern of Mn2FeP (DFT lattice parameters and positions (GGA-PBE); copper Kα).
Neutral-atom scattering factors, no anomalous dispersion.

Crystal structure
a = 2.5845 Å, b = 3.9756 Å, c = 4.4117 Å
α = 90.00°, β = 94.19°, γ = 90.00°
Space group P2/m (No. 10)
Unique sites:
Mn 0.1971 0.0000 0.2517 [2 per cell]
Fe 0.5000 0.5000 0.0000 [1 per cell]
P 0.0000 0.5000 0.5000 [1 per cell]

Top 6 peaks for 5 to 70 degrees two-theta, in order of rising 2θ:
two_theta  I/Imax
20.2  5.2
41.8  9.7
41.9  42.8
45.6  100.0
47.2  62.3
63.7  22.2

[2]
Structure and simulated X-ray diffraction stick pattern of MnFeP4 (DFT lattice parameters and positions (GGA-PBE); copper Kα).
Neutral-atom scattering factors, no anomalous dispersion.

Crystal structure
a = 4.3857 Å, b = 5.9021 Å, c = 5.9186 Å
α = 90.00°, β = 90.00°, γ = 90.00°
Space group Pmna (No. 53)
Unique sites:
Mn 0.0000 0.0000 0.0000 [2 per cell]
Fe 0.0000 0.5000 0.5000 [2 per cell]
P 0.0000 0.1389 0.3689 [4 per cell]
P 0.0000 0.3669 0.8655 [4 per cell]

Top 6 peaks for 5 to 70 degrees two-theta, in order of rising 2θ:
two_theta  I/Imax
29.5  63.7
30.2  82.8
39.8  61.8
41.2  94.2
53.2  96.1
53.3  100.0

Q: Which formula does entry 2 have?
A: MnFeP4